# V8CrMo4
Computed powder diffractogram, a wavelength of 1.5418 Å. Input: a structure optimized by DFT (PBE).
Intensities are scaled so that the largest is 100.

Cell and atoms:
abc: 9.088 4.313 9.913
angles: 90.00 110.35 90.00
Space group C2/m (No. 12)
Inequivalent atoms, fractional coordinates:
V1 0.040 0.000 0.380 [4 per cell]
V2 0.080 0.500 0.776 [4 per cell]
V3 0.194 0.000 0.926 [4 per cell]
V4 0.232 0.500 0.307 [4 per cell]
Cr1 0.000 0.500 0.000 [2 per cell]
Mo1 0.115 0.000 0.152 [4 per cell]
Mo2 0.151 0.500 0.538 [4 per cell]

The 6 most intense peaks (10 to 90 degrees two-theta), by angle:
2θ/deg, I (rel.), h k l
23.59, 11, 1 1 -1
41.93, 100, 0 2 0
42.15, 65, 1 1 -4
42.31, 32, 4 0 -3
61.06, 21, 4 2 -3
76.68, 25, 1 3 -4

# K2Pd3F10
Computed powder diffractogram, a wavelength of 1.5418 Å. Input: a structure optimized by DFT (PBE).
Intensities are scaled so that the largest is 100.

Cell and atoms:
abc: 19.357 6.272 8.422
angles: 90.00 111.47 90.00
Space group C2/m (No. 12)
Inequivalent atoms, fractional coordinates:
K1 0.120 0.000 0.229 [4 per cell]
K2 0.214 0.000 0.838 [4 per cell]
Pd1 0.000 0.252 0.500 [4 per cell]
Pd2 0.076 0.500 0.983 [4 per cell]
Pd3 0.182 0.500 0.525 [4 per cell]
F1 0.000 0.279 0.000 [4 per cell]
F2 0.015 0.000 0.679 [4 per cell]
F3 0.022 0.500 0.690 [4 per cell]
F4 0.112 0.250 0.541 [8 per cell]
F5 0.131 0.500 0.272 [4 per cell]
F6 0.148 0.278 0.987 [8 per cell]
F7 0.238 0.500 0.775 [4 per cell]
F8 0.250 0.250 0.500 [4 per cell]

The 6 most intense peaks (10 to 90 degrees two-theta), by angle:
2θ/deg, I (rel.), h k l
11.29, 46, 0 0 1
14.96, 88, 1 1 0
22.69, 100, 0 0 2
25.70, 61, 1 1 -2
27.66, 82, 6 0 -1
40.10, 53, 6 2 -1

Copy entry 2 word for word.
# K2Pd3F10
Computed powder diffractogram, a wavelength of 1.5418 Å. Input: a structure optimized by DFT (PBE).
Intensities are scaled so that the largest is 100.

Cell and atoms:
abc: 19.357 6.272 8.422
angles: 90.00 111.47 90.00
Space group C2/m (No. 12)
Inequivalent atoms, fractional coordinates:
K1 0.120 0.000 0.229 [4 per cell]
K2 0.214 0.000 0.838 [4 per cell]
Pd1 0.000 0.252 0.500 [4 per cell]
Pd2 0.076 0.500 0.983 [4 per cell]
Pd3 0.182 0.500 0.525 [4 per cell]
F1 0.000 0.279 0.000 [4 per cell]
F2 0.015 0.000 0.679 [4 per cell]
F3 0.022 0.500 0.690 [4 per cell]
F4 0.112 0.250 0.541 [8 per cell]
F5 0.131 0.500 0.272 [4 per cell]
F6 0.148 0.278 0.987 [8 per cell]
F7 0.238 0.500 0.775 [4 per cell]
F8 0.250 0.250 0.500 [4 per cell]

The 6 most intense peaks (10 to 90 degrees two-theta), by angle:
2θ/deg, I (rel.), h k l
11.29, 46, 0 0 1
14.96, 88, 1 1 0
22.69, 100, 0 0 2
25.70, 61, 1 1 -2
27.66, 82, 6 0 -1
40.10, 53, 6 2 -1

What did the first record say?
# V8CrMo4
Computed powder diffractogram, a wavelength of 1.5418 Å. Input: a structure optimized by DFT (PBE).
Intensities are scaled so that the largest is 100.

Cell and atoms:
abc: 9.088 4.313 9.913
angles: 90.00 110.35 90.00
Space group C2/m (No. 12)
Inequivalent atoms, fractional coordinates:
V1 0.040 0.000 0.380 [4 per cell]
V2 0.080 0.500 0.776 [4 per cell]
V3 0.194 0.000 0.926 [4 per cell]
V4 0.232 0.500 0.307 [4 per cell]
Cr1 0.000 0.500 0.000 [2 per cell]
Mo1 0.115 0.000 0.152 [4 per cell]
Mo2 0.151 0.500 0.538 [4 per cell]

The 6 most intense peaks (10 to 90 degrees two-theta), by angle:
2θ/deg, I (rel.), h k l
23.59, 11, 1 1 -1
41.93, 100, 0 2 0
42.15, 65, 1 1 -4
42.31, 32, 4 0 -3
61.06, 21, 4 2 -3
76.68, 25, 1 3 -4